Entry 1:
Starting from DFT lattice parameters and positions (PBE), the XRD peak list of CsUTe3Pd was simulated for Cu Kα.
No peak broadening, texture or thermal motion is included.

Cell lengths 10.2595, 4.3663, 10.8922 Å; angles 90.00, 114.88, 90.00 degrees
Space group P2_1/m (No. 11)
One atom of each set of equivalent atoms:
Cs 0.2212 0.2500 0.2551
U 0.3089 0.7500 0.8387
Te 0.1181 0.2500 0.8637
Te 0.2054 0.7500 0.5405
Te 0.4727 0.7500 0.1518
Pd 0.0886 0.2500 0.5994

Main lines, by angle (10 to 90 degrees two-theta):
(2 1 -1), 26.83°, intensity 100.0; (0 0 3), 27.07°, intensity 33.9; (2 1 0), 28.02°, intensity 40.1; (1 1 -3), 32.11°, intensity 27.0; (1 0 3), 32.43°, intensity 17.9; (1 0 -4), 33.41°, intensity 26.3; (2 1 -4), 39.20°, intensity 40.6; (0 2 0), 41.36°, intensity 32.0; (3 1 2), 45.56°, intensity 22.7; (3 1 -5), 47.70°, intensity 23.5

Entry 2:
Starting from DFT lattice parameters and positions (PBE), the XRD peak list of CsZnTe2Pd was simulated for Cu Kα.
No peak broadening, texture or thermal motion is included.

Cell lengths 8.6080, 4.3445, 8.3180 Å; angles 90.00, 90.01, 90.00 degrees
Space group P2/c (No. 13)
One atom of each set of equivalent atoms:
Cs 0.0000 0.9997 0.2500
Zn 0.5000 0.0000 0.0000
Te 0.2896 0.4476 0.0001
Pd 0.5000 0.4952 0.7500

Main lines, by angle (10 to 90 degrees two-theta):
(1 0 0), 10.28°, intensity 50.8; (1 1 0), 22.93°, intensity 66.9; (2 1 0), 29.21°, intensity 64.2; (2 0 2), 29.87°, intensity 100.0; (1 1 -2), 31.54°, intensity 74.7; (2 1 2), 36.47°, intensity 52.2; (0 2 0), 41.57°, intensity 34.8; (0 0 4), 43.58°, intensity 89.2; (3 1 2), 43.62°, intensity 52.1; (2 2 2), 52.03°, intensity 32.4

Entry 3:
Starting from DFT lattice parameters and positions (PBE), the XRD peak list of CsZrTe4Pd was simulated for Cu Kα.
No peak broadening, texture or thermal motion is included.

Cell lengths 7.2518, 6.3308, 10.7429 Å; angles 90.00, 108.58, 90.00 degrees
Space group P2_1/m (No. 11)
One atom of each set of equivalent atoms:
Cs 0.1481 0.2500 0.4491
Zr 0.2906 0.7500 0.0634
Te 0.1428 0.2500 0.0778
Te 0.3199 0.7500 0.3400
Te 0.3367 0.5026 0.8284
Pd 0.0397 0.2500 0.8165

Main lines, by angle (10 to 90 degrees two-theta):
(0 1 1), 16.49°, intensity 28.4; (1 1 -2), 22.93°, intensity 26.7; (1 0 2), 24.86°, intensity 29.5; (1 1 -3), 29.02°, intensity 65.4; (2 1 0), 29.57°, intensity 71.0; (1 2 -1), 31.16°, intensity 100.0; (1 0 -4), 33.38°, intensity 42.8; (2 2 -2), 38.91°, intensity 28.8; (1 2 3), 43.89°, intensity 46.9; (2 2 -5), 52.96°, intensity 31.6